Entry 1:
The following is a calculated XRD peak list of KP2W7O25. It was derived from a cell relaxed with GGA+U, using CuKα.
No peak broadening, texture or thermal motion is included.

Most intense lines, 2θ = 10–90°, sorted by position:
h k l	d [Å]	2θ (°)	intensity
4 0 1	4.558	19.48	23
3 1 -1	3.970	22.39	100
6 0 1	3.598	24.75	40
5 1 -1	3.489	25.53	21
1 1 2	2.833	31.59	24
0 2 0	2.733	32.77	17
9 1 0	2.665	33.63	40
6 2 -2	1.985	45.70	14
7 1 3	1.763	51.85	12
3 3 -1	1.738	52.66	12

Atomic structure:
Lattice parameters (Å, degrees): 27.632 5.466 6.817 90.00 96.78 90.00
Space group Cm (No. 8)
Inequivalent atoms, fractional coordinates:
K 0.000 0.000 0.000 (multiplicity 2)
P 0.043 0.500 0.832 (multiplicity 2)
P 0.456 0.500 0.440 (multiplicity 2)
W 0.080 0.000 0.549 (multiplicity 2)
W 0.135 0.500 0.247 (multiplicity 2)
W 0.192 0.000 0.942 (multiplicity 2)
W 0.248 0.500 0.642 (multiplicity 2)
W 0.303 0.000 0.337 (multiplicity 2)
W 0.361 0.500 0.037 (multiplicity 2)
W 0.418 0.000 0.725 (multiplicity 2)
O 0.011 0.000 0.399 (multiplicity 2)
O 0.051 0.263 0.722 (multiplicity 4)
O 0.072 0.500 0.038 (multiplicity 2)
O 0.101 0.251 0.374 (multiplicity 4)
O 0.135 0.000 0.731 (multiplicity 2)
O 0.161 0.250 0.084 (multiplicity 4)
O 0.188 0.500 0.434 (multiplicity 2)
O 0.221 0.243 0.794 (multiplicity 4)
O 0.250 0.000 0.137 (multiplicity 2)
O 0.279 0.250 0.477 (multiplicity 4)
O 0.311 0.500 0.840 (multiplicity 2)
O 0.339 0.247 0.184 (multiplicity 4)
O 0.364 0.000 0.542 (multiplicity 2)
O 0.400 0.249 0.887 (multiplicity 4)
O 0.426 0.500 0.235 (multiplicity 2)
O 0.446 0.268 0.558 (multiplicity 4)
O 0.487 0.000 0.871 (multiplicity 2)


Entry 2:
The following is a calculated XRD peak list of KP2WO8. It was derived from a cell relaxed with GGA+U, using CuKα.
No peak broadening, texture or thermal motion is included.

Most intense lines, 2θ = 10–90°, sorted by position:
h k l	d [Å]	2θ (°)	intensity
0 1 1	8.422	10.50	51
0 2 1	5.359	16.54	59
0 1 2	5.295	16.74	59
1 2 -1	3.921	22.68	100
0 1 3	3.736	23.82	70
1 2 -3	3.240	27.53	20
0 4 0	3.006	29.72	25
2 0 -2	2.584	34.71	25
2 2 -1	2.338	38.51	19
2 4 -2	1.960	46.32	22

Atomic structure:
Lattice parameters (Å, degrees): 5.170 12.033 12.775 90.00 112.61 90.00
Space group P2_1/c (No. 14)
Inequivalent atoms, fractional coordinates:
K 0.185 0.127 0.450 (multiplicity 4)
P 0.110 0.066 0.867 (multiplicity 4)
P 0.111 0.694 0.848 (multiplicity 4)
W 0.408 0.118 0.166 (multiplicity 4)
O 0.052 0.213 0.122 (multiplicity 4)
O 0.065 0.174 0.789 (multiplicity 4)
O 0.137 0.589 0.913 (multiplicity 4)
O 0.183 0.528 0.644 (multiplicity 4)
O 0.252 0.524 0.323 (multiplicity 4)
O 0.287 0.109 0.985 (multiplicity 4)
O 0.400 0.738 0.856 (multiplicity 4)
O 0.494 0.628 0.187 (multiplicity 4)